# 1
For Mn2CoO4, a PBE+U-relaxed structure gives the computed powder diffraction line list in this record (a wavelength of 1.5418 Å).
Kinematic intensities with the Lorentz-polarization factor, no thermal factor.

Structural model:
Unit cell a=5.8347 b=5.8347 c=9.3759 alpha=90.00 beta=90.00 gamma=90.00
Space group I4_1/amd (No. 141, origin choice 2)
Unique sites:
Mn  0.0000  0.0000  0.0000 x8
Co  0.0000  0.2500  0.3750 x4
O  0.0000  0.0233  0.7547 x16

Most intense lines, 10 to 80 degrees two-theta, low angle first:
(1 0 1), 2θ = 17.91°, d = 4.954 Å, I 12
(1 1 2), 2θ = 28.83°, d = 3.097 Å, I 38
(2 0 0), 2θ = 30.65°, d = 2.917 Å, I 17
(1 0 3), 2θ = 32.50°, d = 2.755 Å, I 73
(2 1 1), 2θ = 35.72°, d = 2.514 Å, I 100
(0 0 4), 2θ = 38.40°, d = 2.344 Å, I 14
(2 2 0), 2θ = 43.89°, d = 2.063 Å, I 18
(1 0 5), 2θ = 51.17°, d = 1.785 Å, I 21
(3 1 2), 2θ = 53.36°, d = 1.717 Å, I 12
(3 2 1), 2θ = 57.82°, d = 1.595 Å, I 31
(2 2 4), 2θ = 59.71°, d = 1.549 Å, I 56
(4 0 0), 2θ = 63.81°, d = 1.459 Å, I 22

# 2
For Mn2CoO6, a PBE+U-relaxed structure gives the computed powder diffraction line list in this record (a wavelength of 1.5418 Å).
Kinematic intensities with the Lorentz-polarization factor, no thermal factor.

Structural model:
Unit cell a=8.7041 b=5.0197 c=10.0493 alpha=90.00 beta=90.00 gamma=90.00
Space group Cmce (No. 64)
Unique sites:
Mn  0.1667  0.0000  0.0000 x8
Co  0.0000  0.0000  0.5000 x4
O  0.0000  0.1717  0.0948 x8
O  0.1642  0.1640  0.4051 x16

Most intense lines, 10 to 80 degrees two-theta, low angle first:
(0 0 2), 2θ = 17.65°, d = 5.025 Å, I 100
(0 2 0), 2θ = 35.76°, d = 2.511 Å, I 9
(3 1 1), 2θ = 36.89°, d = 2.437 Å, I 24
(0 2 2), 2θ = 40.15°, d = 2.246 Å, I 18
(3 1 3), 2θ = 45.12°, d = 2.010 Å, I 26
(0 2 4), 2θ = 51.46°, d = 1.776 Å, I 11
(3 1 5), 2θ = 58.84°, d = 1.569 Å, I 14
(3 3 1), 2θ = 65.01°, d = 1.435 Å, I 12
(0 2 6), 2θ = 67.18°, d = 1.393 Å, I 8
(3 3 3), 2θ = 70.83°, d = 1.330 Å, I 4
(3 1 7), 2θ = 76.42°, d = 1.246 Å, I 5
(6 2 2), 2θ = 78.52°, d = 1.218 Å, I 5

# 3
For Mn2Co5O12, a PBE+U-relaxed structure gives the computed powder diffraction line list in this record (a wavelength of 1.5418 Å).
Kinematic intensities with the Lorentz-polarization factor, no thermal factor.

Structural model:
Unit cell a=4.9256 b=8.4940 c=9.6088 alpha=90.00 beta=100.87 gamma=90.00
Space group C2 (No. 5)
Unique sites:
Mn  0.0000  0.0000  0.0000 x2
Mn  0.0000  0.4533  0.5000 x2
Co  0.0000  0.1217  0.5000 x2
Co  0.0000  0.6589  0.0000 x2
Co  0.0000  0.7863  0.5000 x2
Co  0.2328  0.4546  0.2313 x4
O  0.1118  0.9538  0.3925 x4
O  0.1174  0.8303  0.8896 x4
O  0.1249  0.5134  0.8901 x4
O  0.1350  0.2940  0.3902 x4
O  0.1355  0.6132  0.3909 x4
O  0.1513  0.1359  0.8785 x4

Most intense lines, 10 to 80 degrees two-theta, low angle first:
(0 0 2), 2θ = 18.81°, d = 4.718 Å, I 78
(0 2 0), 2θ = 20.92°, d = 4.247 Å, I 27
(1 1 -1), 2θ = 21.69°, d = 4.097 Å, I 30
(1 1 1), 2θ = 24.56°, d = 3.625 Å, I 50
(0 2 2), 2θ = 28.27°, d = 3.157 Å, I 24
(2 0 0), 2θ = 37.14°, d = 2.421 Å, I 21
(2 0 -2), 2θ = 38.48°, d = 2.339 Å, I 18
(1 3 1), 2θ = 38.94°, d = 2.313 Å, I 25
(1 3 -3), 2θ = 44.75°, d = 2.025 Å, I 100
(2 0 2), 2θ = 45.24°, d = 2.004 Å, I 55
(1 3 5), 2θ = 65.28°, d = 1.429 Å, I 24
(3 3 -1), 2θ = 65.75°, d = 1.420 Å, I 26

# 4
For MnCo3P4O16, a PBE+U-relaxed structure gives the computed powder diffraction line list in this record (a wavelength of 1.5418 Å).
Kinematic intensities with the Lorentz-polarization factor, no thermal factor.

Structural model:
Unit cell a=4.8435 b=5.8843 c=9.8752 alpha=90.00 beta=91.06 gamma=90.00
Space group Pm (No. 6)
Unique sites:
Mn  0.0000  0.0000  0.0000 x1
Co  0.3876  0.0000  0.5134 x1
Co  0.4974  0.5000  0.0651 x1
Co  0.8977  0.5000  0.5554 x1
P  0.0265  0.5000  0.8785 x1
P  0.3373  0.5000  0.3809 x1
P  0.5258  0.0000  0.1875 x1
P  0.8277  0.0000  0.6883 x1
O  0.0779  0.5000  0.7242 x1
O  0.1359  0.0000  0.6637 x1
O  0.1830  0.2966  0.9490 x2
O  0.1931  0.2945  0.4541 x2
O  0.2103  0.0000  0.1625 x1
O  0.2762  0.5000  0.2289 x1
O  0.5814  0.0000  0.3392 x1
O  0.6524  0.5000  0.4086 x1
O  0.6690  0.2062  0.1140 x2
O  0.6717  0.2031  0.6175 x2
O  0.7169  0.5000  0.9017 x1
O  0.7717  0.0000  0.8417 x1

Most intense lines, 10 to 80 degrees two-theta, low angle first:
(0 0 2), 2θ = 17.97°, d = 4.937 Å, I 97
(1 0 -1), 2θ = 20.28°, d = 4.380 Å, I 55
(1 0 1), 2θ = 20.58°, d = 4.317 Å, I 59
(0 1 2), 2θ = 23.52°, d = 3.782 Å, I 25
(1 1 -1), 2θ = 25.35°, d = 3.513 Å, I 63
(1 1 1), 2θ = 25.58°, d = 3.482 Å, I 74
(0 2 0), 2θ = 30.38°, d = 2.942 Å, I 100
(1 1 -3), 2θ = 36.10°, d = 2.488 Å, I 64
(1 1 3), 2θ = 36.63°, d = 2.453 Å, I 57
(2 2 0), 2θ = 48.70°, d = 1.870 Å, I 22
(2 2 -2), 2θ = 52.06°, d = 1.757 Å, I 23
(0 1 6), 2θ = 58.22°, d = 1.585 Å, I 24

# 5
For Mn5CoP6O24, a PBE+U-relaxed structure gives the computed powder diffraction line list in this record (a wavelength of 1.5418 Å).
Kinematic intensities with the Lorentz-polarization factor, no thermal factor.

Structural model:
Unit cell a=8.5597 b=8.5597 c=21.0554 alpha=90.00 beta=90.00 gamma=120.00
Space group R3 (No. 146, hexagonal axes)
Unique sites:
Mn  0.0000  0.0000  0.0000 x3
Mn  0.0000  0.0000  0.1434 x3
Mn  0.0000  0.0000  0.2874 x3
Mn  0.0000  0.0000  0.6412 x3
Mn  0.0000  0.0000  0.7869 x3
Co  0.0000  0.0000  0.4995 x3
P  0.0008  0.2918  0.3938 x9
P  0.0009  0.7119  0.8944 x9
O  0.0041  0.8076  0.8323 x9
O  0.0094  0.8152  0.9551 x9
O  0.0114  0.2016  0.3322 x9
O  0.0175  0.1801  0.0629 x9
O  0.0248  0.8343  0.5677 x9
O  0.1371  0.4618  0.1216 x9
O  0.1705  0.4861  0.3885 x9
O  0.1750  0.6944  0.8888 x9

Most intense lines, 10 to 80 degrees two-theta, low angle first:
(1 1 0), 2θ = 20.75°, d = 4.281 Å, I 99
(1 1 3), 2θ = 24.36°, d = 3.654 Å, I 100
(2 0 2), 2θ = 25.48°, d = 3.496 Å, I 15
(0 2 4), 2θ = 29.47°, d = 3.031 Å, I 14
(3 -1 1), 2θ = 32.23°, d = 2.777 Å, I 18
(2 -1 6), 2θ = 33.01°, d = 2.713 Å, I 76
(3 0 0), 2θ = 36.36°, d = 2.471 Å, I 39
(3 -2 8), 2θ = 47.39°, d = 1.918 Å, I 32
(4 -2 6), 2θ = 49.92°, d = 1.827 Å, I 29
(4 1 0), 2θ = 56.89°, d = 1.619 Å, I 41
(4 1 6), 2θ = 63.30°, d = 1.469 Å, I 21
(6 0 0), 2θ = 77.20°, d = 1.236 Å, I 12

# 6
For Ti3MnCo2P6O24, a PBE+U-relaxed structure gives the computed powder diffraction line list in this record (a wavelength of 1.5418 Å).
Kinematic intensities with the Lorentz-polarization factor, no thermal factor.

Structural model:
Unit cell a=8.6209 b=8.6209 c=20.7398 alpha=90.00 beta=90.00 gamma=120.00
Space group R3 (No. 146, hexagonal axes)
Unique sites:
Ti  0.0000  0.0000  0.0000 x3
Ti  0.0000  0.0000  0.2160 x3
Ti  0.0000  0.0000  0.5001 x3
Mn  0.0000  0.0000  0.7179 x3
Co  0.0000  0.0000  0.3557 x3
Co  0.0000  0.0000  0.8577 x3
P  0.0004  0.7116  0.6093 x9
P  0.0407  0.3722  0.7742 x9
O  0.0004  0.8069  0.6705 x9
O  0.0056  0.1933  0.1679 x9
O  0.0169  0.8316  0.2797 x9
O  0.0230  0.1849  0.7817 x9
O  0.1454  0.4741  0.7135 x9
O  0.1490  0.6725  0.2144 x9
O  0.1665  0.4816  0.1011 x9
O  0.1707  0.6928  0.6010 x9

Most intense lines, 10 to 80 degrees two-theta, low angle first:
(1 1 0), 2θ = 20.61°, d = 4.310 Å, I 76
(2 -1 3), 2θ = 24.33°, d = 3.658 Å, I 100
(2 0 2), 2θ = 25.36°, d = 3.512 Å, I 21
(3 -1 1), 2θ = 32.01°, d = 2.796 Å, I 17
(2 -1 6), 2θ = 33.22°, d = 2.697 Å, I 63
(3 0 0), 2θ = 36.09°, d = 2.489 Å, I 32
(3 -2 8), 2θ = 47.63°, d = 1.909 Å, I 32
(2 2 6), 2θ = 49.86°, d = 1.829 Å, I 23
(1 4 0), 2θ = 56.48°, d = 1.629 Å, I 21
(3 1 8), 2θ = 56.91°, d = 1.618 Å, I 16
(4 1 6), 2θ = 63.08°, d = 1.474 Å, I 15
(6 0 0), 2θ = 76.57°, d = 1.244 Å, I 9